(1)
# Pm2Th6Sc5
Computed powder XRD pattern, Cu Kα, 1.54184 Å. Input: a structure optimized by DFT (PBE).
Kinematic intensities with the Lorentz-polarization factor, no thermal factor.

Largest 10 diffraction maxima, low angle first, 2θ = 15–90°:
d = 4.901 Å, 18.10°, I 40; d = 3.138 Å, 28.44°, I 45; d = 2.965 Å, 30.14°, I 37; d = 2.856 Å, 31.32°, I 62; d = 2.746 Å, 32.61°, I 35; d = 2.722 Å, 32.91°, I 53; d = 2.700 Å, 33.18°, I 100; d = 2.641 Å, 33.95°, I 32; d = 2.537 Å, 35.38°, I 53; d = 2.138 Å, 42.27°, I 27

Crystal structure
```
data_Pm2Th6Sc5
_chemical_formula_sum 'Pm4 Th12 Sc10'
_space_group_name_H-M_alt 'P 1'
_space_group_IT_number 1
_space_group_name_Hall 'P 1'
_cell_length_a 11.5480
_cell_length_b 19.6039
_cell_length_c 3.4550
_cell_angle_alpha 90.00
_cell_angle_beta 90.00
_cell_angle_gamma 90.00
loop_
_atom_site_label
_atom_site_type_symbol
_atom_site_fract_x
_atom_site_fract_y
_atom_site_fract_z
_atom_site_occupancy
Pm1 Pm 0.1592 0.2206 0.0000 1
Pm2 Pm 0.3408 0.7206 0.0000 1
Pm3 Pm 0.6592 0.2794 0.0000 1
Pm4 Pm 0.8408 0.7794 0.0000 1
Th1 Th 0.0598 0.9231 0.0000 1
Th2 Th 0.0701 0.6342 0.0000 1
Th3 Th 0.1939 0.3860 0.5000 1
Th4 Th 0.3061 0.8860 0.5000 1
Th5 Th 0.4299 0.1342 0.0000 1
Th6 Th 0.4402 0.4231 0.0000 1
Th7 Th 0.5598 0.5769 0.0000 1
Th8 Th 0.5701 0.8658 0.0000 1
Th9 Th 0.6939 0.1140 0.5000 1
Th10 Th 0.8061 0.6140 0.5000 1
Th11 Th 0.9299 0.3658 0.0000 1
Th12 Th 0.9402 0.0769 0.0000 1
Sc1 Sc 0.0000 0.5000 0.5000 1
Sc2 Sc 0.0974 0.7763 0.5000 1
Sc3 Sc 0.2029 0.0550 0.5000 1
Sc4 Sc 0.2971 0.5550 0.5000 1
Sc5 Sc 0.4026 0.2763 0.5000 1
Sc6 Sc 0.5000 0.0000 0.5000 1
Sc7 Sc 0.5974 0.7237 0.5000 1
Sc8 Sc 0.7029 0.4450 0.5000 1
Sc9 Sc 0.7971 0.9450 0.5000 1
Sc10 Sc 0.9026 0.2237 0.5000 1
```

---

(2)
# Pm8ThSc5
Computed powder XRD pattern, Cu Kα, 1.54184 Å. Input: a structure optimized by DFT (PBE).
Kinematic intensities with the Lorentz-polarization factor, no thermal factor.

Largest 10 diffraction maxima, low angle first, 2θ = 15–90°:
d = 3.425 Å, 26.02°, I 100; d = 3.314 Å, 26.90°, I 88; d = 2.866 Å, 31.21°, I 22; d = 2.846 Å, 31.43°, I 47; d = 2.795 Å, 32.02°, I 38; d = 2.756 Å, 32.49°, I 63; d = 2.746 Å, 32.61°, I 33; d = 2.673 Å, 33.53°, I 43; d = 2.657 Å, 33.73°, I 44; d = 2.536 Å, 35.39°, I 47

Crystal structure
```
data_Pm8ThSc5
_chemical_formula_sum 'Pm8 Th1 Sc5'
_space_group_name_H-M_alt 'P 1'
_space_group_IT_number 1
_space_group_name_Hall 'P 1'
_cell_length_a 7.7336
_cell_length_b 7.7336
_cell_length_c 9.1990
_cell_angle_alpha 115.64
_cell_angle_beta 115.64
_cell_angle_gamma 87.69
loop_
_atom_site_label
_atom_site_type_symbol
_atom_site_fract_x
_atom_site_fract_y
_atom_site_fract_z
_atom_site_occupancy
Pm1 Pm 0.0466 0.0466 0.1999 1
Pm2 Pm 0.1421 0.5405 0.5289 1
Pm3 Pm 0.4595 0.8579 0.4711 1
Pm4 Pm 0.4758 0.1225 0.9036 1
Pm5 Pm 0.6375 0.0766 0.2782 1
Pm6 Pm 0.8775 0.5242 0.0964 1
Pm7 Pm 0.9234 0.3625 0.7218 1
Pm8 Pm 0.9534 0.9534 0.8001 1
Th1 Th 0.3587 0.6413 0.0000 1
Sc1 Sc 0.0485 0.9515 0.5000 1
Sc2 Sc 0.2853 0.3644 0.1839 1
Sc3 Sc 0.4396 0.2958 0.6280 1
Sc4 Sc 0.6356 0.7147 0.8161 1
Sc5 Sc 0.7042 0.5604 0.3720 1
```

---

(3)
# Pm5ThSc
Computed powder XRD pattern, Cu Kα, 1.54184 Å. Input: a structure optimized by DFT (PBE).
Kinematic intensities with the Lorentz-polarization factor, no thermal factor.

Largest 10 diffraction maxima, low angle first, 2θ = 15–90°:
d = 5.515 Å, 16.07°, I 44; d = 3.264 Å, 27.32°, I 21; d = 3.027 Å, 29.51°, I 33; d = 2.919 Å, 30.63°, I 33; d = 2.815 Å, 31.79°, I 61; d = 2.804 Å, 31.91°, I 100; d = 2.758 Å, 32.47°, I 70; d = 2.560 Å, 35.05°, I 26; d = 1.632 Å, 56.38°, I 20; d = 1.626 Å, 56.61°, I 21

Crystal structure
```
data_Pm5ThSc
_chemical_formula_sum 'Pm5 Th1 Sc1'
_space_group_name_H-M_alt 'P 1'
_space_group_IT_number 1
_space_group_name_Hall 'P 1'
_cell_length_a 6.1684
_cell_length_b 6.1684
_cell_length_c 7.0445
_cell_angle_alpha 99.87
_cell_angle_beta 99.87
_cell_angle_gamma 112.22
loop_
_atom_site_label
_atom_site_type_symbol
_atom_site_fract_x
_atom_site_fract_y
_atom_site_fract_z
_atom_site_occupancy
Pm1 Pm 0.0000 0.0000 0.0000 1
Pm2 Pm 0.1010 0.5233 0.2696 1
Pm3 Pm 0.4767 0.8990 0.7304 1
Pm4 Pm 0.5233 0.1010 0.2696 1
Pm5 Pm 0.8990 0.4767 0.7304 1
Th1 Th 0.0000 0.0000 0.5000 1
Sc1 Sc 0.5000 0.5000 0.0000 1
```

---

(4)
# PmThScTl
Computed powder XRD pattern, Cu Kα, 1.54184 Å. Input: a structure optimized by DFT (PBE).
Kinematic intensities with the Lorentz-polarization factor, no thermal factor.

Largest 10 diffraction maxima, low angle first, 2θ = 15–90°:
d = 4.424 Å, 20.07°, I 20; d = 2.709 Å, 33.06°, I 100; d = 2.310 Å, 38.98°, I 12; d = 1.916 Å, 47.46°, I 18; d = 1.758 Å, 52.02°, I 5; d = 1.564 Å, 59.06°, I 38; d = 1.475 Å, 63.03°, I 4; d = 1.355 Å, 69.38°, I 12; d = 1.212 Å, 79.03°, I 17; d = 1.106 Å, 88.38°, I 4

Crystal structure
```
data_PmThScTl
_chemical_formula_sum 'Pm1 Th1 Sc1 Tl1'
_space_group_name_H-M_alt 'P 1'
_space_group_IT_number 1
_space_group_name_Hall 'P 1'
_cell_length_a 5.4185
_cell_length_b 5.4185
_cell_length_c 5.4185
_cell_angle_alpha 60.00
_cell_angle_beta 60.00
_cell_angle_gamma 60.00
loop_
_atom_site_label
_atom_site_type_symbol
_atom_site_fract_x
_atom_site_fract_y
_atom_site_fract_z
_atom_site_occupancy
Pm1 Pm 0.0000 0.0000 0.0000 1
Th1 Th 0.2500 0.2500 0.2500 1
Sc1 Sc 0.7500 0.7500 0.7500 1
Tl1 Tl 0.5000 0.5000 0.5000 1
```

---

(5)
# PmTm2ThSc4
Computed powder XRD pattern, Cu Kα, 1.54184 Å. Input: a structure optimized by DFT (PBE).
Kinematic intensities with the Lorentz-polarization factor, no thermal factor.

Largest 10 diffraction maxima, low angle first, 2θ = 15–90°:
d = 4.540 Å, 19.55°, I 29; d = 3.507 Å, 25.40°, I 32; d = 2.776 Å, 32.25°, I 100; d = 2.480 Å, 36.22°, I 37; d = 2.270 Å, 39.71°, I 14; d = 2.176 Å, 41.49°, I 18; d = 1.754 Å, 52.16°, I 13; d = 1.674 Å, 54.83°, I 22; d = 1.483 Å, 62.67°, I 29; d = 1.389 Å, 67.44°, I 23

Crystal structure
```
data_PmTm2ThSc4
_chemical_formula_sum 'Pm1 Tm2 Th1 Sc4'
_space_group_name_H-M_alt 'P 1'
_space_group_IT_number 1
_space_group_name_Hall 'P 1'
_cell_length_a 4.9601
_cell_length_b 4.9601
_cell_length_c 9.0799
_cell_angle_alpha 90.00
_cell_angle_beta 90.00
_cell_angle_gamma 90.00
loop_
_atom_site_label
_atom_site_type_symbol
_atom_site_fract_x
_atom_site_fract_y
_atom_site_fract_z
_atom_site_occupancy
Pm1 Pm 0.0000 0.0000 0.0000 1
Tm1 Tm 0.0000 0.0000 0.5000 1
Tm2 Tm 0.5000 0.5000 0.0000 1
Th1 Th 0.5000 0.5000 0.5000 1
Sc1 Sc 0.0000 0.5000 0.2533 1
Sc2 Sc 0.0000 0.5000 0.7467 1
Sc3 Sc 0.5000 0.0000 0.2533 1
Sc4 Sc 0.5000 0.0000 0.7467 1
```

---

(6)
# PmTm3ThSc
Computed powder XRD pattern, Cu Kα, 1.54184 Å. Input: a structure optimized by DFT (PBE).
Kinematic intensities with the Lorentz-polarization factor, no thermal factor.

Largest 10 diffraction maxima, low angle first, 2θ = 15–90°:
d = 2.864 Å, 31.23°, I 100; d = 2.849 Å, 31.39°, I 99; d = 2.494 Å, 36.01°, I 35; d = 2.468 Å, 36.41°, I 33; d = 2.460 Å, 36.53°, I 33; d = 1.754 Å, 52.14°, I 25; d = 1.750 Å, 52.26°, I 36; d = 1.501 Å, 61.83°, I 29; d = 1.492 Å, 62.22°, I 14; d = 1.486 Å, 62.50°, I 14

Crystal structure
```
data_PmTm3ThSc
_chemical_formula_sum 'Pm2 Tm6 Th2 Sc2'
_space_group_name_H-M_alt 'P 1'
_space_group_IT_number 1
_space_group_name_Hall 'P 1'
_cell_length_a 7.7994
_cell_length_b 4.9880
_cell_length_c 9.8713
_cell_angle_alpha 90.00
_cell_angle_beta 108.87
_cell_angle_gamma 90.00
loop_
_atom_site_label
_atom_site_type_symbol
_atom_site_fract_x
_atom_site_fract_y
_atom_site_fract_z
_atom_site_occupancy
Pm1 Pm 0.1728 0.2500 0.2964 1
Pm2 Pm 0.8272 0.7500 0.7036 1
Tm1 Tm 0.1742 0.7500 0.0458 1
Tm2 Tm 0.1746 0.7500 0.5418 1
Tm3 Tm 0.1758 0.2500 0.7899 1
Tm4 Tm 0.8242 0.7500 0.2101 1
Tm5 Tm 0.8254 0.2500 0.4582 1
Tm6 Tm 0.8258 0.2500 0.9542 1
Th1 Th 0.4981 0.7500 0.8754 1
Th2 Th 0.5019 0.2500 0.1246 1
Sc1 Sc 0.4994 0.2500 0.6264 1
Sc2 Sc 0.5006 0.7500 0.3736 1
```

---

Which formula does entry 2 have? Pm8ThSc5